PuGa8Co4: simulated powder X-ray diffraction pattern (Cu Kα, 1.54184 Å), based on a DFT-relaxed cell (PBE, Alexandria).

Main lines, most intense first (15° ≤ 2θ ≤ 90°):
hkl	2θ (°)	d [Å]	I/Imax
3 2 1	41.88	2.157	100
2 0 2	40.94	2.204	63
3 0 1	35.97	2.497	56
4 0 0	42.19	2.142	55
2 1 1	29.06	3.073	39
6 3 1	76.91	1.240	26

Structure:
Lattice parameters (Å, degrees): 8.569 8.569 5.142 90.00 90.00 90.00
Space group I4/mmm (No. 139)
Asymmetric unit:
1 Pu 0.000 0.000 0.000 [2 per cell]
2 Ga 0.000 0.222 0.500 [8 per cell]
3 Ga 0.000 0.339 0.000 [8 per cell]
4 Co 0.250 0.250 0.250 [8 per cell]


Np2CuCl8: simulated powder X-ray diffraction pattern (Cu Kα, 1.54184 Å), based on a DFT-relaxed cell (PBE, Alexandria).

Main lines, most intense first (15° ≤ 2θ ≤ 90°):
hkl	2θ (°)	d [Å]	I/Imax
0 0 1	16.80	5.277	100
1 3 0	23.40	3.802	54
2 0 0	20.85	4.260	49
1 3 1	30.09	2.970	48
3 3 0	38.12	2.361	40
3 3 -1	39.32	2.291	31

Structure:
Lattice parameters (Å, degrees): 8.671 12.744 5.371 90.00 100.73 90.00
Space group Cm (No. 8)
Asymmetric unit:
1 Np 0.000 0.173 0.000 [4 per cell]
2 Cu 0.001 0.500 0.001 [2 per cell]
3 Cl 0.000 0.233 0.500 [4 per cell]
4 Cl 0.105 0.000 0.280 [2 per cell]
5 Cl 0.187 0.363 0.073 [4 per cell]
6 Cl 0.313 0.137 0.928 [4 per cell]
7 Cl 0.395 0.500 0.720 [2 per cell]


ScIn2Ni9: simulated powder X-ray diffraction pattern (Cu Kα, 1.54184 Å), based on a DFT-relaxed cell (PBE, Alexandria).

Main lines, most intense first (15° ≤ 2θ ≤ 90°):
hkl	2θ (°)	d [Å]	I/Imax
1 1 6	43.81	2.067	100
2 0 5	47.34	1.920	62
1 1 0	37.10	2.423	62
0 0 12	45.85	1.979	35
0 2 1	43.31	2.089	31
1 0 7	33.96	2.640	26

Structure:
Lattice parameters (Å, degrees): 4.8435 4.8435 23.7806 90.00 90.00 120.00
Space group R-3m (No. 166, hexagonal axes)
Asymmetric unit:
1 Sc 0.0000 0.0000 0.0000 [3 per cell]
2 In 0.0000 0.0000 0.1385 [6 per cell]
3 Ni 0.0000 0.0000 0.3338 [6 per cell]
4 Ni 0.0000 0.0000 0.5000 [3 per cell]
5 Ni 0.0026 0.5013 0.9172 [18 per cell]


LaPm2Pr2Y2: simulated powder X-ray diffraction pattern (Cu Kα, 1.54184 Å), based on a DFT-relaxed cell (PBE, Alexandria).

Main lines, most intense first (15° ≤ 2θ ≤ 90°):
hkl	2θ (°)	d [Å]	I/Imax
1 1 2	31.79	2.815	100
2 0 -4	29.88	2.990	95
4 0 -1	30.09	2.970	81
3 1 -2	34.52	2.598	79
2 0 3	32.40	2.763	65
1 1 1	27.96	3.191	52

Structure:
Lattice parameters (Å, degrees): 11.930 3.591 12.169 90.00 109.47 90.00
Space group C2/m (No. 12)
Asymmetric unit:
1 La 0.000 0.000 0.000 [2 per cell]
2 Pm 0.053 0.500 0.272 [4 per cell]
3 Pr 0.167 0.500 0.582 [4 per cell]
4 Y 0.223 0.000 0.862 [4 per cell]


TbSm10Dy4: simulated powder X-ray diffraction pattern (Cu Kα, 1.54184 Å), based on a DFT-relaxed cell (PBE, Alexandria).

Main lines, most intense first (15° ≤ 2θ ≤ 90°):
hkl	2θ (°)	d [Å]	I/Imax
3 1 2	32.64	2.743	100
5 5 2	58.25	1.584	38
1 2 1	19.82	4.480	28
6 2 0	46.84	1.940	18
5 0 1	38.48	2.339	16
6 2 4	68.40	1.372	12

Structure:
Lattice parameters (Å, degrees): 12.275 12.275 7.751 90.00 90.00 90.00
Space group I4/m (No. 87)
Asymmetric unit:
1 Tb 0.000 0.000 0.000 [2 per cell]
2 Sm 0.000 0.500 0.250 [4 per cell]
3 Sm 0.100 0.200 0.250 [16 per cell]
4 Dy 0.100 0.700 0.500 [8 per cell]


In2Ag5F12: simulated powder X-ray diffraction pattern (Cu Kα, 1.54184 Å), based on a DFT-relaxed cell (PBE, Alexandria).

Main lines, most intense first (15° ≤ 2θ ≤ 90°):
hkl	2θ (°)	d [Å]	I/Imax
1 1 -2	25.76	3.458	100
3 1 0	26.13	3.410	99
0 2 1	29.22	3.056	76
1 1 -3	35.99	2.496	72
2 0 -2	23.44	3.795	67
2 0 -1	15.89	5.579	53

Structure:
Lattice parameters (Å, degrees): 12.463 6.653 8.100 90.00 107.07 90.00
Space group C2/m (No. 12)
Asymmetric unit:
1 In 0.000 0.248 0.000 [4 per cell]
2 Ag 0.000 0.000 0.500 [2 per cell]
3 Ag 0.200 0.500 0.736 [4 per cell]
4 Ag 0.207 0.500 0.385 [4 per cell]
5 F 0.026 0.500 0.846 [4 per cell]
6 F 0.028 0.000 0.848 [4 per cell]
7 F 0.129 0.234 0.535 [8 per cell]
8 F 0.167 0.258 0.135 [8 per cell]


Ca3In2Hg2: simulated powder X-ray diffraction pattern (Cu Kα, 1.54184 Å), based on a DFT-relaxed cell (PBE, Alexandria).

Main lines, most intense first (15° ≤ 2θ ≤ 90°):
hkl	2θ (°)	d [Å]	I/Imax
1 7 0	33.26	2.694	100
1 1 1	31.67	2.825	64
1 7 1	41.86	2.158	53
0 0 1	24.69	3.605	49
2 0 0	38.84	2.319	39
1 7 2	61.94	1.498	33

Structure:
Lattice parameters (Å, degrees): 4.638 23.165 3.605 90.00 90.00 90.00
Space group Cmmm (No. 65)
Asymmetric unit:
1 Ca 0.000 0.000 0.000 [2 per cell]
2 Ca 0.000 0.157 0.000 [4 per cell]
3 In 0.000 0.423 0.500 [4 per cell]
4 Hg 0.000 0.287 0.500 [4 per cell]


Pu4As6Rh7: simulated powder X-ray diffraction pattern (Cu Kα, 1.54184 Å), based on a DFT-relaxed cell (PBE, Alexandria).

Main lines, most intense first (15° ≤ 2θ ≤ 90°):
hkl	2θ (°)	d [Å]	I/Imax
2 2 2	36.74	2.446	100
4 0 0	42.68	2.118	61
2 2 0	29.82	2.996	49
4 4 0	61.95	1.498	34
6 2 2	74.24	1.277	30
4 2 0	48.02	1.895	16

Structure:
Lattice parameters (Å, degrees): 8.473 8.473 8.473 90.00 90.00 90.00
Space group Im-3m (No. 229)
Asymmetric unit:
1 Pu 0.250 0.250 0.250 [8 per cell]
2 As 0.000 0.000 0.317 [12 per cell]
3 Rh 0.000 0.000 0.000 [2 per cell]
4 Rh 0.000 0.250 0.500 [12 per cell]


TlCrNi2: simulated powder X-ray diffraction pattern (Cu Kα, 1.54184 Å), based on a DFT-relaxed cell (PBE, Alexandria).

Main lines, most intense first (15° ≤ 2θ ≤ 90°):
hkl	2θ (°)	d [Å]	I/Imax
1 1 1	40.30	2.238	100
2 0 0	44.87	2.020	37
1 0 0	22.00	4.040	33
3 1 1	79.62	1.204	26
1 0 1	33.33	2.688	24
2 0 2	70.00	1.344	19

Structure:
Lattice parameters (Å, degrees): 4.040 4.040 3.600 90.00 90.00 90.00
Space group P4/mmm (No. 123)
Asymmetric unit:
1 Tl 0.000 0.000 0.000 [1 per cell]
2 Cr 0.500 0.500 0.000 [1 per cell]
3 Ni 0.000 0.500 0.500 [2 per cell]


La2SmIn6: simulated powder X-ray diffraction pattern (Cu Kα, 1.54184 Å), based on a DFT-relaxed cell (PBE, Alexandria).

Main lines, most intense first (15° ≤ 2θ ≤ 90°):
hkl	2θ (°)	d [Å]	I/Imax
1 1 1	31.35	2.853	100
3 0 0	35.60	2.522	75
2 2 1	48.16	1.889	30
3 0 2	61.43	1.509	30
4 1 1	61.31	1.512	29
3 3 0	63.95	1.456	13

Structure:
Lattice parameters (Å, degrees): 8.7348 8.7348 3.7683 90.00 90.00 120.00
Space group P6/mmm (No. 191)
Asymmetric unit:
1 La 0.3333 0.6667 0.0000 [2 per cell]
2 Sm 0.0000 0.0000 0.0000 [1 per cell]
3 In 0.0000 0.3313 0.5000 [6 per cell]


PmSm4Te6: simulated powder X-ray diffraction pattern (Cu Kα, 1.54184 Å), based on a DFT-relaxed cell (PBE, Alexandria).

Main lines, most intense first (15° ≤ 2θ ≤ 90°):
hkl	2θ (°)	d [Å]	I/Imax
1 3 2	28.68	3.113	100
1 3 3	30.03	2.975	61
0 2 6	26.59	3.352	53
1 3 1	27.84	3.205	49
2 0 0	41.57	2.173	39
1 1 8	38.44	2.342	39

Structure:
Lattice parameters (Å, degrees): 4.345 14.560 22.656 90.00 90.00 90.00
Space group Cmcm (No. 63)
Asymmetric unit:
1 Pm 0.000 0.155 0.250 [4 per cell]
2 Sm 0.000 0.087 0.626 [8 per cell]
3 Sm 0.000 0.356 0.536 [8 per cell]
4 Te 0.000 0.000 0.000 [4 per cell]
5 Te 0.000 0.186 0.750 [4 per cell]
6 Te 0.000 0.268 0.094 [8 per cell]
7 Te 0.000 0.444 0.666 [8 per cell]


CsS2O7: simulated powder X-ray diffraction pattern (Cu Kα, 1.54184 Å), based on a DFT-relaxed cell (PBE, Alexandria).

Main lines, most intense first (15° ≤ 2θ ≤ 90°):
hkl	2θ (°)	d [Å]	I/Imax
2 0 0	29.00	3.079	100
1 3 0	22.76	3.906	65
1 5 0	32.93	2.720	39
2 2 0	31.35	2.853	33
0 4 1	34.08	2.631	32
1 3 1	33.58	2.669	24

Structure:
Lattice parameters (Å, degrees): 6.160 15.156 3.656 90.00 90.00 90.00
Space group Cmmm (No. 65)
Asymmetric unit:
1 Cs 0.000 0.000 0.000 [2 per cell]
2 S 0.000 0.392 0.500 [4 per cell]
3 O 0.000 0.392 0.000 [4 per cell]
4 O 0.000 0.500 0.500 [2 per cell]
5 O 0.220 0.357 0.500 [8 per cell]